# 1
Diffraction record for Eu2ZnHg. The XRD peak list is theoretical, not measured: it uses a cell relaxed with GGA-PBE and Cu Kα (λ = 1.5418 Å).
Lines closer than 0.1° are merged.

The 8 most intense peaks (2θ from 5° to 70°), by angle:
- 20.02°, intensity 11
- 32.98°, intensity 100
- 38.88°, intensity 6
- 47.33°, intensity 18
- 51.87°, intensity 3
- 58.89°, intensity 38
- 62.85°, intensity 2
- 69.17°, intensity 12

Atomic structure:
```
Eu2ZnHg
1.0
0.0000 3.8415 3.8415
3.8415 0.0000 3.8415
3.8415 3.8415 0.0000
Eu Zn Hg
2 1 1
Cartesian
1.9207 1.9207 1.9207
5.7622 5.7622 5.7622
0.0000 0.0000 0.0000
3.8415 3.8415 3.8415
```

# 2
Diffraction record for K2MnP2. The XRD peak list is theoretical, not measured: it uses a cell relaxed with GGA-PBE and Cu Kα (λ = 1.5418 Å).
Lines closer than 0.1° are merged.

The 10 most intense peaks (2θ from 5° to 70°), by angle:
- 6.06°, intensity 69
- 18.25°, intensity 16
- 27.76°, intensity 100
- 33.42°, intensity 15
- 36.98°, intensity 14
- 39.66°, intensity 35
- 46.86°, intensity 28
- 55.34°, intensity 16
- 57.33°, intensity 11
- 64.87°, intensity 14

Atomic structure:
```
K2MnP2
1.0
3.2141 0.0000 0.0000
0.0000 3.2141 0.0000
0.0000 0.0000 14.5869
K Mn P
2 1 2
Cartesian
0.0000 0.0000 2.0893
0.0000 0.0000 12.4976
0.0000 0.0000 7.2934
0.0000 0.0000 5.0520
0.0000 0.0000 9.5349
```